Structure and computed powder XRD pattern of NaNdNb4O12 (a cell relaxed with PBE; Cu Kα, 1.54184 Å).
Lines closer than 0.1° are merged.

Largest 12 diffraction maxima, sorted by position, 2θ from 15° to 90°:
2theta	Rel. int.
15.73	12
19.28	28
22.30	44
24.98	8
31.74	100
37.40	15
45.40	14
45.55	27
56.51	27
56.58	14
66.26	16
75.46	11

Structural model:
Lattice parameters (Å, degrees): 5.633 5.633 7.991 90.00 90.00 90.04
Element x y z (fractional)
Na1 0.000 0.000 0.000
Nd1 0.500 0.500 0.500
Nb1 0.000 0.500 0.247
Nb2 0.000 0.500 0.753
Nb3 0.500 0.000 0.247
Nb4 0.500 0.000 0.753
O1 0.000 0.500 0.000
O2 0.000 0.500 0.500
O3 0.240 0.760 0.260
O4 0.240 0.760 0.740
O5 0.275 0.275 0.267
O6 0.275 0.275 0.733
O7 0.500 0.000 0.000
O8 0.500 0.000 0.500
O9 0.725 0.725 0.267
O10 0.725 0.725 0.733
O11 0.760 0.240 0.260
O12 0.760 0.240 0.740


Structure and computed powder XRD pattern of Mg2ScV3S8 (a cell relaxed with PBE; Cu Kα, 1.54184 Å).
Lines closer than 0.1° are merged.

Largest 12 diffraction maxima, sorted by position, 2θ from 15° to 90°:
2theta	Rel. int.
24.28	11
28.54	55
28.64	29
34.53	41
34.68	82
45.37	18
45.51	24
45.60	11
49.74	100
50.00	21
61.94	11
62.18	12

Structural model:
Lattice parameters (Å, degrees): 7.297 7.327 7.332 60.06 60.19 60.21
Element x y z (fractional)
Mg1 0.125 0.125 0.124
Mg2 0.875 0.875 0.876
Sc1 0.500 0.500 0.000
V1 0.000 0.500 0.500
V2 0.500 0.000 0.500
V3 0.500 0.500 0.500
S1 0.252 0.253 0.274
S2 0.253 0.720 0.274
S3 0.262 0.262 0.714
S4 0.280 0.747 0.725
S5 0.720 0.253 0.275
S6 0.738 0.738 0.286
S7 0.747 0.280 0.726
S8 0.748 0.747 0.726


Structure and computed powder XRD pattern of LaTa3O9 (a cell relaxed with PBE; Cu Kα, 1.54184 Å).
Lines closer than 0.1° are merged.

Largest 12 diffraction maxima, sorted by position, 2θ from 15° to 90°:
2theta	Rel. int.
22.27	32
22.47	67
25.11	15
31.85	100
32.00	51
45.44	15
45.88	31
51.67	13
56.65	21
56.94	41
66.56	18
76.05	17

Structural model:
Lattice parameters (Å, degrees): 8.843 8.843 9.748 122.97 122.97 36.89
Element x y z (fractional)
La1 0.167 0.167 0.001
La2 0.833 0.833 0.999
Ta1 0.084 0.084 0.253
Ta2 0.249 0.249 0.737
Ta3 0.423 0.423 0.259
Ta4 0.577 0.577 0.741
Ta5 0.751 0.751 0.263
Ta6 0.916 0.916 0.747
O1 0.000 0.000 0.000
O2 0.075 0.575 0.227
O3 0.075 0.594 0.766
O4 0.165 0.165 0.498
O5 0.231 0.750 0.233
O6 0.250 0.769 0.767
O7 0.326 0.326 0.000
O8 0.406 0.925 0.234
O9 0.425 0.925 0.773
O10 0.500 0.500 0.500
O11 0.575 0.075 0.227
O12 0.594 0.075 0.766
O13 0.674 0.674 0.000
O14 0.750 0.231 0.233
O15 0.769 0.250 0.767
O16 0.835 0.835 0.502
O17 0.925 0.406 0.234
O18 0.925 0.425 0.773


Structure and computed powder XRD pattern of CdC2Br4N2 (a cell relaxed with PBE; Cu Kα, 1.54184 Å).
Lines closer than 0.1° are merged.

Largest 12 diffraction maxima, sorted by position, 2θ from 15° to 90°:
2theta	Rel. int.
19.61	100
20.67	77
21.31	32
22.73	37
23.22	87
24.83	42
28.29	25
30.05	25
33.81	25
34.04	33
35.52	28
41.32	25

Structural model:
Lattice parameters (Å, degrees): 9.500 15.646 9.204 90.00 95.89 90.00
Element x y z (fractional)
Cd1 0.174 0.005 0.029
Cd2 0.174 0.495 0.529
Cd3 0.826 0.505 0.471
Cd4 0.826 0.995 0.971
C1 0.230 0.115 0.729
C2 0.230 0.385 0.229
C3 0.321 0.651 0.125
C4 0.321 0.849 0.625
C5 0.679 0.151 0.375
C6 0.679 0.349 0.875
C7 0.770 0.615 0.771
C8 0.770 0.885 0.271
Br1 0.008 0.110 0.151
Br2 0.008 0.390 0.651
Br3 0.178 0.146 0.546
Br4 0.178 0.354 0.046
Br5 0.330 0.600 0.667
Br6 0.330 0.900 0.167
Br7 0.447 0.633 0.281
Br8 0.447 0.867 0.781
Br9 0.553 0.133 0.219
Br10 0.553 0.367 0.719
Br11 0.670 0.100 0.833
Br12 0.670 0.400 0.333
Br13 0.822 0.646 0.954
Br14 0.822 0.854 0.454
Br15 0.992 0.610 0.349
Br16 0.992 0.890 0.849
N1 0.232 0.663 0.031
N2 0.232 0.837 0.531
N3 0.260 0.091 0.849
N4 0.260 0.409 0.349
N5 0.740 0.591 0.651
N6 0.740 0.909 0.151
N7 0.768 0.163 0.469
N8 0.768 0.337 0.969